Structure and calculated X-ray diffraction stick pattern of PN4 (a crystal structure in Alexandria, relaxed with PBE; CuKα).

Largest 7 diffraction maxima, in order of rising 2θ, 2θ from 10° to 80°:
26.0 deg, I 100; 37.0 deg, I 70; 45.8 deg, I 10; 53.4 deg, I 71; 60.3 deg, I 31; 66.8 deg, I 23; 78.9 deg, I 37

Structure:
```
PN4
1.0
3.433 0.000 0.000
0.000 3.433 0.000
0.000 0.000 3.433
P N
1 4
Cartesian
0.000 0.000 0.000
0.000 0.000 1.716
0.000 1.716 0.000
1.716 0.000 0.000
1.716 1.716 1.716
```